Diffraction record for La3AgSnSe7. The X-ray diffraction stick pattern is calculated, not measured: it uses DFT lattice parameters and positions (PBE) and Cu Kα (λ = 1.5418 Å).
Lines closer than 0.1° are merged.

Top 10 peaks for 2θ from 10° to 80°, in order of falling intensity:
d (Å)  I (rel.)
2.730  100.0
2.624  90.2
2.995  50.4
2.366  49.8
2.064  41.6
3.110  39.1
3.785  36.9
2.820  31.9
2.017  26.1
1.813  25.2

Crystal structure
Unit cell a=10.9178 b=10.9178 c=6.3150 alpha=90.00 beta=90.00 gamma=120.00
Sites, in units of the cell vectors:
La (0.1334, 0.7766, 0.0000)
La (0.2234, 0.3568, 0.0000)
La (0.3568, 0.1334, 0.5000)
La (0.6432, 0.8666, 0.0000)
La (0.7766, 0.6432, 0.5000)
La (0.8666, 0.2234, 0.5000)
Ag (0.0000, 0.0000, 0.4386)
Ag (0.0000, 0.0000, 0.9386)
Sn (0.3333, 0.6667, 0.5817)
Sn (0.6667, 0.3333, 0.0817)
Se (0.0886, 0.5138, 0.7535)
Se (0.1032, 0.8336, 0.4766)
Se (0.1664, 0.2697, 0.4766)
Se (0.2697, 0.1032, 0.9766)
Se (0.3333, 0.6667, 0.1820)
Se (0.4252, 0.9114, 0.7535)
Se (0.4862, 0.5748, 0.7535)
Se (0.5138, 0.4252, 0.2535)
Se (0.5748, 0.0886, 0.2535)
Se (0.6667, 0.3333, 0.6820)
Se (0.7303, 0.8968, 0.4766)
Se (0.8336, 0.7303, 0.9766)
Se (0.8968, 0.1664, 0.9766)
Se (0.9114, 0.4862, 0.2535)